Record 1
Mo3Pd: simulated powder XRD pattern (Cu Kα), based on DFT lattice parameters and positions (PBE).
Peak positions follow from Bragg's law for the DFT cell and can differ from measured ones.

Top 5 peaks for 2θ from 15° to 90°, in order of rising 2θ:
2θ (°), Rel. int., h k l
39.32, 100, 1 1 1
45.72, 48, 2 0 0
66.64, 30, 2 2 0
80.21, 36, 3 1 1
84.57, 11, 2 2 2

Atomic structure:
```
data_Mo3Pd
_chemical_formula_sum 'Mo3 Pd1'
_symmetry_space_group_name_H-M 'P m -3 m'
_symmetry_Int_Tables_number 221
_symmetry_space_group_name_Hall '-P 4 2 3'
_cell_length_a 3.9693
_cell_length_b 3.9693
_cell_length_c 3.9693
_cell_angle_alpha 90.00
_cell_angle_beta 90.00
_cell_angle_gamma 90.00
loop_
_atom_site_label
_atom_site_type_symbol
_atom_site_fract_x
_atom_site_fract_y
_atom_site_fract_z
_atom_site_occupancy
Mo1 Mo 0.0000 0.0000 0.5000 1
Pd1 Pd 0.5000 0.5000 0.5000 1
```

=====

Record 2
MoPd4: simulated powder XRD pattern (Cu Kα), based on DFT lattice parameters and positions (PBE).
Peak positions follow from Bragg's law for the DFT cell and can differ from measured ones.

Top 5 peaks for 2θ from 15° to 90°, in order of rising 2θ:
2θ (°), Rel. int., h k l
39.47, 100, 0 1 5
45.89, 48, 1 0 10
66.92, 30, 1 1 0
80.56, 36, 2 0 5
84.95, 11, 0 2 10

Atomic structure:
```
data_MoPd4
_chemical_formula_sum 'Mo3 Pd12'
_symmetry_space_group_name_H-M 'R -3 m'
_symmetry_Int_Tables_number 166
_symmetry_space_group_name_Hall '-R 3 2"'
_cell_length_a 2.7959
_cell_length_b 2.7959
_cell_length_c 34.2639
_cell_angle_alpha 90.00
_cell_angle_beta 90.00
_cell_angle_gamma 120.00
loop_
_atom_site_label
_atom_site_type_symbol
_atom_site_fract_x
_atom_site_fract_y
_atom_site_fract_z
_atom_site_occupancy
Mo1 Mo 0.0000 0.0000 0.0000 1
Pd1 Pd 0.0000 0.0000 0.2004 1
Pd2 Pd 0.0000 0.0000 0.3982 1
```

=====

Repeat the second record exactly.
MoPd4: simulated powder XRD pattern (Cu Kα), based on DFT lattice parameters and positions (PBE).
Peak positions follow from Bragg's law for the DFT cell and can differ from measured ones.

Top 5 peaks for 2θ from 15° to 90°, in order of rising 2θ:
2θ (°), Rel. int., h k l
39.47, 100, 0 1 5
45.89, 48, 1 0 10
66.92, 30, 1 1 0
80.56, 36, 2 0 5
84.95, 11, 0 2 10

Atomic structure:
```
data_MoPd4
_chemical_formula_sum 'Mo3 Pd12'
_symmetry_space_group_name_H-M 'R -3 m'
_symmetry_Int_Tables_number 166
_symmetry_space_group_name_Hall '-R 3 2"'
_cell_length_a 2.7959
_cell_length_b 2.7959
_cell_length_c 34.2639
_cell_angle_alpha 90.00
_cell_angle_beta 90.00
_cell_angle_gamma 120.00
loop_
_atom_site_label
_atom_site_type_symbol
_atom_site_fract_x
_atom_site_fract_y
_atom_site_fract_z
_atom_site_occupancy
Mo1 Mo 0.0000 0.0000 0.0000 1
Pd1 Pd 0.0000 0.0000 0.2004 1
Pd2 Pd 0.0000 0.0000 0.3982 1
```